No. 1
# Sr2GdRuO6
Theoretical powder XRD pattern, λ = 1.5418 Å (Cu Kα). Input: a GGA-PBE-relaxed structure.
Neutral-atom scattering factors, no anomalous dispersion.

Atomic structure:
```
data_Sr2GdRuO6
_chemical_formula_sum 'Sr2 Gd1 Ru1 O6'
_cell_length_a 5.9034
_cell_length_b 5.9034
_cell_length_c 5.9034
_cell_angle_alpha 120.77
_cell_angle_beta 120.77
_cell_angle_gamma 88.68
_symmetry_space_group_name_H-M 'P 1'
_symmetry_Int_Tables_number 1
loop_
_symmetry_equiv_pos_as_xyz
'x,y,z'
loop_
_atom_site_label
_atom_site_type_symbol
_atom_site_fract_x
_atom_site_fract_y
_atom_site_fract_z
_atom_site_occupancy
Sr1 Sr 0.2500 0.7500 0.5000 1
Sr2 Sr 0.7500 0.2500 0.5000 1
Gd1 Gd 0.0000 0.0000 0.0000 1
Ru1 Ru 0.5000 0.5000 0.0000 1
O1 O 0.2082 0.6733 0.8814 1
O2 O 0.2656 0.2656 0.0000 1
O3 O 0.3267 0.2082 0.5349 1
O4 O 0.6733 0.7918 0.4651 1
O5 O 0.7344 0.7344 0.0000 1
O6 O 0.7918 0.3267 0.1186 1
```

Most intense lines, 10 to 90 degrees two-theta, in order of falling intensity:
- 2θ 30.29, 2.951 Å, rel. 100
- 2θ 30.64, 2.917 Å, rel. 55
- 2θ 54.25, 1.691 Å, rel. 45
- 2θ 43.89, 2.063 Å, rel. 29
- 2θ 53.58, 1.710 Å, rel. 23
- 2θ 63.00, 1.475 Å, rel. 18
- 2θ 42.84, 2.111 Å, rel. 17
- 2θ 87.99, 1.110 Å, rel. 13
- 2θ 87.09, 1.119 Å, rel. 12
- 2θ 72.44, 1.305 Å, rel. 11

=====

No. 2
# GdCoSi3
Theoretical powder XRD pattern, λ = 1.5418 Å (Cu Kα). Input: a GGA-PBE-relaxed structure.
Neutral-atom scattering factors, no anomalous dispersion.

Atomic structure:
```
data_GdCoSi3
_chemical_formula_sum 'Gd1 Co1 Si3'
_cell_length_a 5.6129
_cell_length_b 5.6129
_cell_length_c 5.6129
_cell_angle_alpha 137.47
_cell_angle_beta 137.47
_cell_angle_gamma 61.72
_symmetry_space_group_name_H-M 'P 1'
_symmetry_Int_Tables_number 1
loop_
_symmetry_equiv_pos_as_xyz
'x,y,z'
loop_
_atom_site_label
_atom_site_type_symbol
_atom_site_fract_x
_atom_site_fract_y
_atom_site_fract_z
_atom_site_occupancy
Gd1 Gd 0.0000 0.0000 0.0000 1
Co1 Co 0.6587 0.6587 0.0000 1
Si1 Si 0.2594 0.7594 0.5000 1
Si2 Si 0.4273 0.4273 0.0000 1
Si3 Si 0.7594 0.2594 0.5000 1
```

Most intense lines, 10 to 90 degrees two-theta, in order of falling intensity:
- 2θ 35.60, 2.522 Å, rel. 100
- 2θ 36.35, 2.471 Å, rel. 91
- 2θ 23.72, 3.751 Å, rel. 65
- 2θ 31.06, 2.879 Å, rel. 57
- 2θ 44.50, 2.036 Å, rel. 54
- 2θ 58.24, 1.584 Å, rel. 47
- 2θ 18.41, 4.818 Å, rel. 23
- 2θ 52.53, 1.742 Å, rel. 23
- 2θ 76.59, 1.244 Å, rel. 21
- 2θ 66.68, 1.403 Å, rel. 20